The following is a simulated X-ray diffraction stick pattern of RbV4In3O12. It was derived from a DFT-relaxed cell (GGA+U, Alexandria), using λ = 1.5418 Å (Cu Kα).
Neutral-atom scattering factors, no anomalous dispersion.

Largest 12 diffraction maxima, in order of rising 2θ, 10 to 90 degrees two-theta:
2θ 15.2, d 5.821, intensity 25
2θ 20.8, d 4.272, intensity 22
2θ 25.9, d 3.444, intensity 46
2θ 28.4, d 3.144, intensity 100
2θ 30.7, d 2.911, intensity 27
2θ 33.9, d 2.641, intensity 31
2θ 36.9, d 2.435, intensity 19
2θ 39.2, d 2.296, intensity 23
2θ 48.8, d 1.868, intensity 19
2θ 50.6, d 1.803, intensity 15
2θ 53.9, d 1.701, intensity 15
2θ 57.0, d 1.614, intensity 21

Crystal structure
```
20
Lattice="5.8211 3.3608 2.6813 -5.8211 3.3608 2.6813 0.0000 -6.7216 2.6813" Properties=species:S:1:pos:R:3 pbc="T T T"
Rb 0.0000 0.0000 0.0000
V -2.5369 -4.3941 4.0219
V 0.0000 0.0000 4.0219
V -2.5369 4.3941 4.0219
V 5.0739 0.0000 4.0219
In -3.2868 -1.0288 2.6813
In -3.2867 1.0288 5.3625
In 0.7524 3.3608 2.6813
O -3.3725 -2.8688 3.8872
O -4.7924 0.0000 4.0219
O -0.7982 -4.3551 4.1566
O -1.9618 0.0000 4.0219
O -3.3725 2.8688 4.1566
O 2.3962 -4.1504 4.0219
O 0.9809 -1.6990 4.0219
O -0.7982 4.3551 3.8872
O 0.9809 1.6990 4.0219
O 4.1707 -1.4863 3.8872
O 2.3962 4.1504 4.0219
O 4.1707 1.4863 4.1566
```